Diffraction record for TaMnZn2O6. The PXRD pattern is calculated, not measured: it uses a crystal structure in the Materials Project, relaxed with GGA+U and copper Kα.

Top 12 peaks for 2θ = 15–90°, by angle:
d_spacing  Position (°2θ)  intensity
5.453  16.3  31
5.252  16.9  31
2.751  32.6  100
2.727  32.8  48
2.626  34.1  39
2.614  34.3  81
1.996  45.4  23
1.898  47.9  22
1.566  59.0  25
1.558  59.3  21
1.538  60.2  20
1.490  62.3  19

Cell and atoms:
Unit cell a=5.2798 b=7.5920 c=5.4818 alpha=90.00 beta=95.84 gamma=90.00
Space group P2_1/m (No. 11)
One atom of each set of equivalent atoms:
Ta: 0.0000 0.0000 0.0000 [2 per cell]
Mn: 0.5000 0.0000 0.5000 [2 per cell]
Zn: 0.0159 0.2500 0.5318 [2 per cell]
Zn: 0.4987 0.7500 0.9463 [2 per cell]
O: 0.1336 0.7500 0.0433 [2 per cell]
O: 0.1768 0.0608 0.3273 [4 per cell]
O: 0.2991 0.0717 0.8348 [4 per cell]
O: 0.3729 0.7500 0.5726 [2 per cell]